# 1
Starting from DFT lattice parameters and positions (PBE+U), the XRD peak list of Cr2FeNO8 was simulated for Cu Kα (weighted mean of Kα1 and Kα2).

The 10 most intense peaks (5 to 70 degrees two-theta), in order of rising 2θ:
- hkl 0 2 0, 2θ 11.13, rel. 100
- hkl 1 1 -1, 2θ 19.59, rel. 18
- hkl 1 1 1, 2θ 19.77, rel. 30
- hkl 1 3 -1, 2θ 25.24, rel. 23
- hkl 1 3 1, 2θ 25.40, rel. 32
- hkl 0 3 2, 2θ 26.75, rel. 27
- hkl 1 4 0, 2θ 27.48, rel. 25
- hkl 1 2 -2, 2θ 28.35, rel. 26
- hkl 1 2 2, 2θ 28.63, rel. 21
- hkl 2 0 0, 2θ 31.83, rel. 31

Atomic structure:
a = 5.6234 Å, b = 15.8969 Å, c = 8.5726 Å
α = 90.00°, β = 90.69°, γ = 90.00°
Space group P2_1 (No. 4)
Asymmetric unit:
Cr 0.0006 0.0000 0.2121 [2 per cell]
Cr 0.0132 0.3044 0.1107 [2 per cell]
Cr 0.4855 0.4642 0.3866 [2 per cell]
Cr 0.4971 0.7685 0.2915 [2 per cell]
Fe 0.0093 0.8325 0.4910 [2 per cell]
Fe 0.4904 0.9367 0.0121 [2 per cell]
N 0.0115 0.0925 0.7472 [2 per cell]
N 0.4861 0.6827 0.7520 [2 per cell]
O 0.0031 0.2759 0.3002 [2 per cell]
O 0.0065 0.9059 0.2978 [2 per cell]
O 0.0086 0.7226 0.9987 [2 per cell]
O 0.0139 0.5724 0.6580 [2 per cell]
O 0.2122 0.8695 0.9321 [2 per cell]
O 0.2245 0.4161 0.4236 [2 per cell]
O 0.2426 0.5061 0.9064 [2 per cell]
O 0.2458 0.7551 0.3967 [2 per cell]
O 0.2507 0.0132 0.1056 [2 per cell]
O 0.2612 0.2638 0.5887 [2 per cell]
O 0.2718 0.3538 0.0721 [2 per cell]
O 0.2914 0.8982 0.5697 [2 per cell]
O 0.4851 0.1953 0.8366 [2 per cell]
O 0.4906 0.8620 0.2037 [2 per cell]
O 0.4915 0.0460 0.5039 [2 per cell]
O 0.4984 0.4928 0.1972 [2 per cell]



# 2
Starting from DFT lattice parameters and positions (PBE+U), the XRD peak list of Cr2FeNO8 was simulated for Cu Kα (weighted mean of Kα1 and Kα2).

The 10 most intense peaks (5 to 70 degrees two-theta), in order of rising 2θ:
- hkl 0 2 0, 2θ 11.33, rel. 100
- hkl 1 1 0, 2θ 19.65, rel. 20
- hkl 1 1 -2, 2θ 19.96, rel. 34
- hkl 1 3 0, 2θ 25.47, rel. 23
- hkl 1 3 -2, 2θ 25.70, rel. 35
- hkl 0 3 2, 2θ 27.11, rel. 34
- hkl 1 4 -1, 2θ 27.83, rel. 28
- hkl 1 2 1, 2θ 28.54, rel. 30
- hkl 1 2 -3, 2θ 28.95, rel. 23
- hkl 2 0 -2, 2θ 31.90, rel. 29

Atomic structure:
a = 5.6116 Å, b = 15.6262 Å, c = 10.0938 Å
α = 90.00°, β = 122.77°, γ = 90.00°
Space group P2_1/c (No. 14)
Asymmetric unit:
Cr 0.0938 0.0809 0.3601 [4 per cell]
Cr 0.2071 0.1170 0.9613 [4 per cell]
Fe 0.4807 0.5541 0.7397 [4 per cell]
N 0.2636 0.7061 0.0013 [4 per cell]
O 0.0089 0.1615 0.2435 [4 per cell]
O 0.1494 0.6336 0.6418 [4 per cell]
O 0.2051 0.5341 0.1718 [4 per cell]
O 0.2713 0.0100 0.3203 [4 per cell]
O 0.2849 0.0193 0.0412 [4 per cell]
O 0.3023 0.1138 0.5497 [4 per cell]
O 0.3239 0.1256 0.8378 [4 per cell]
O 0.3624 0.1880 0.0976 [4 per cell]



# 3
Starting from DFT lattice parameters and positions (PBE+U), the XRD peak list of NaCr2FeO10 was simulated for Cu Kα (weighted mean of Kα1 and Kα2).

The 10 most intense peaks (5 to 70 degrees two-theta), in order of rising 2θ:
- hkl 2 0 -1, 2θ 17.55, rel. 99
- hkl 2 0 0, 2θ 18.30, rel. 41
- hkl 1 1 1, 2θ 24.57, rel. 100
- hkl 1 1 -2, 2θ 28.53, rel. 89
- hkl 3 1 -1, 2θ 30.05, rel. 19
- hkl 3 1 0, 2θ 32.09, rel. 30
- hkl 0 2 0, 2θ 32.42, rel. 41
- hkl 4 0 -1, 2θ 33.86, rel. 18
- hkl 5 1 0, 2θ 49.84, rel. 22
- hkl 6 2 -2, 2θ 62.45, rel. 15

Atomic structure:
a = 10.6105 Å, b = 5.5228 Å, c = 7.6021 Å
α = 90.00°, β = 113.96°, γ = 90.00°
Space group C2/m (No. 12)
Asymmetric unit:
Na 0.0000 0.0000 0.0000 [2 per cell]
Cr 0.1075 0.5000 0.7895 [4 per cell]
Fe 0.0000 0.0000 0.5000 [2 per cell]
O 0.0119 0.2433 0.6958 [8 per cell]
O 0.1443 0.5000 0.0189 [4 per cell]
O 0.1878 0.0000 0.5765 [4 per cell]
O 0.2492 0.5000 0.7554 [4 per cell]



# 4
Starting from DFT lattice parameters and positions (PBE+U), the XRD peak list of NaCr2FeO10 was simulated for Cu Kα (weighted mean of Kα1 and Kα2).

The 10 most intense peaks (5 to 70 degrees two-theta), in order of rising 2θ:
- hkl 0 0 2, 2θ 17.51, rel. 100
- hkl 2 0 -2, 2θ 18.13, rel. 35
- hkl 3 1 -1, 2θ 24.77, rel. 99
- hkl 3 1 1, 2θ 29.13, rel. 84
- hkl 1 1 -3, 2θ 29.79, rel. 18
- hkl 3 1 -3, 2θ 31.82, rel. 30
- hkl 0 2 0, 2θ 32.26, rel. 41
- hkl 2 0 -4, 2θ 33.48, rel. 28
- hkl 5 1 -5, 2θ 49.37, rel. 22
- hkl 2 2 -6, 2θ 61.88, rel. 15

Atomic structure:
a = 14.2505 Å, b = 5.5497 Å, c = 10.7282 Å
α = 90.00°, β = 109.21°, γ = 90.00°
Space group C2/c (No. 15)
Asymmetric unit:
Na 0.0000 0.2073 0.2500 [4 per cell]
Cr 0.0985 0.2662 0.9616 [8 per cell]
Fe 0.2500 0.2500 0.5000 [4 per cell]
O 0.0174 0.2260 0.6249 [8 per cell]
O 0.1088 0.2645 0.1168 [8 per cell]
O 0.1341 0.4556 0.4165 [8 per cell]
O 0.1642 0.0344 0.9259 [8 per cell]
O 0.2181 0.2335 0.6528 [8 per cell]



# 5
Starting from DFT lattice parameters and positions (PBE+U), the XRD peak list of Cr2Fe3NiP6O24 was simulated for Cu Kα (weighted mean of Kα1 and Kα2).

The 10 most intense peaks (5 to 70 degrees two-theta), in order of rising 2θ:
- hkl 1 1 0, 2θ 20.59, rel. 85
- hkl 1 1 3, 2θ 24.48, rel. 100
- hkl 2 1 1, 2θ 32.00, rel. 14
- hkl 1 1 6, 2θ 33.68, rel. 71
- hkl 3 0 0, 2θ 36.06, rel. 42
- hkl 1 2 8, 2θ 48.24, rel. 27
- hkl 4 -2 6, 2θ 50.17, rel. 28
- hkl 4 1 0, 2θ 56.43, rel. 23
- hkl 4 -1 8, 2θ 57.43, rel. 13
- hkl 4 1 6, 2θ 63.33, rel. 23

Atomic structure:
a = 8.6280 Å, b = 8.6280 Å, c = 20.2826 Å
α = 90.00°, β = 90.00°, γ = 120.00°
Space group R3 (No. 146, hexagonal axes)
Asymmetric unit:
Cr 0.0000 0.0000 0.0000 [3 per cell]
Cr 0.0000 0.0000 0.4996 [3 per cell]
Fe 0.0000 0.0000 0.1473 [3 per cell]
Fe 0.0000 0.0000 0.6463 [3 per cell]
Fe 0.0000 0.0000 0.8536 [3 per cell]
Ni 0.0000 0.0000 0.3571 [3 per cell]
P 0.0001 0.2986 0.2512 [9 per cell]
P 0.0339 0.6673 0.4169 [9 per cell]
O 0.0061 0.1739 0.9281 [9 per cell]
O 0.0082 0.8311 0.4297 [9 per cell]
O 0.0104 0.2093 0.3135 [9 per cell]
O 0.0155 0.8086 0.8117 [9 per cell]
O 0.1405 0.4606 0.8558 [9 per cell]
O 0.1404 0.6807 0.3551 [9 per cell]
O 0.1654 0.4910 0.2384 [9 per cell]
O 0.1668 0.6759 0.7383 [9 per cell]



# 6
Starting from DFT lattice parameters and positions (PBE+U), the XRD peak list of Cr4Fe2O19 was simulated for Cu Kα (weighted mean of Kα1 and Kα2).

The 10 most intense peaks (5 to 70 degrees two-theta), in order of rising 2θ:
- hkl 0 1 2, 2θ 15.21, rel. 75
- hkl 0 2 0, 2θ 16.25, rel. 29
- hkl 0 2 1, 2θ 17.48, rel. 36
- hkl 1 1 -1, 2θ 17.79, rel. 23
- hkl 1 2 -1, 2θ 22.74, rel. 37
- hkl 1 0 2, 2θ 24.89, rel. 76
- hkl 1 0 -4, 2θ 25.23, rel. 25
- hkl 0 2 3, 2θ 25.35, rel. 33
- hkl 1 2 1, 2θ 26.10, rel. 31
- hkl 1 2 -3, 2θ 26.32, rel. 100

Atomic structure:
a = 5.6076 Å, b = 10.9102 Å, c = 14.8065 Å
α = 90.00°, β = 111.46°, γ = 90.00°
Space group P2/c (No. 13)
Asymmetric unit:
Cr 0.1497 0.0959 0.1301 [4 per cell]
Cr 0.2381 0.3936 0.6537 [4 per cell]
Fe 0.0000 0.3464 0.2500 [2 per cell]
Fe 0.5000 0.0000 0.0000 [2 per cell]
O 0.0021 0.2995 0.6187 [4 per cell]
O 0.1466 0.0914 0.4501 [4 per cell]
O 0.1502 0.4738 0.1935 [4 per cell]
O 0.1774 0.2196 0.2022 [4 per cell]
O 0.2066 0.0259 0.6942 [4 per cell]
O 0.3244 0.4249 0.5632 [4 per cell]
O 0.3280 0.3477 0.3775 [4 per cell]
O 0.3739 0.1051 0.0730 [4 per cell]
O 0.3825 0.1080 0.8982 [4 per cell]
O 0.5000 0.3286 0.7500 [2 per cell]



What is the formula in the sixth record?
Cr4Fe2O19